No. 1
Simulated X-ray powder pattern
Compound: Er8AsS6
Radiation: Cu Kα
Structure: a structure optimized by DFT (PBE)
Kinematic intensities with the Lorentz-polarization factor, no thermal factor.

Top 10 peaks for 10 to 80 degrees two-theta, sorted by position:
d = 3.077 Å, I 90.8; d = 2.897 Å, I 42.4; d = 2.866 Å, I 100.0; d = 2.502 Å, I 41.0; d = 2.385 Å, I 17.4; d = 2.097 Å, I 41.3; d = 1.960 Å, I 16.2; d = 1.762 Å, I 31.0; d = 1.692 Å, I 17.6; d = 1.618 Å, I 28.0

Structural model:
```
15
Lattice="9.9288 0.0000 0.0000 -4.9644 8.5986 0.0000 0.0000 0.0000 3.9201" Properties=species:S:1:pos:R:3 pbc="T T T"
Er -3.1837 6.0786 1.0093
Er 1.2921 2.8021 1.0093
Er 3.0727 0.2821 2.9108
Er 0.0000 5.7324 2.9290
Er 4.9644 2.8662 0.9910
Er 1.8917 8.3165 1.0093
Er 3.6723 5.7965 2.9108
Er 8.1481 2.5200 2.9108
As 0.0000 0.0000 1.9600
S -1.0641 4.1403 0.9686
S -0.8467 7.4500 0.9686
S 3.0536 2.9917 2.9515
S 1.9108 5.6069 0.9686
S 5.8111 1.1486 2.9515
S 6.0285 4.4583 2.9515
```

---

No. 2
Simulated X-ray powder pattern
Compound: Sr2CaCd2In2
Radiation: Cu Kα
Structure: a structure optimized by DFT (PBE)
Kinematic intensities with the Lorentz-polarization factor, no thermal factor.

Top 10 peaks for 10 to 80 degrees two-theta, sorted by position:
d = 5.171 Å, I 28.4; d = 4.207 Å, I 16.1; d = 3.112 Å, I 23.0; d = 2.901 Å, I 93.9; d = 2.524 Å, I 100.0; d = 2.268 Å, I 20.7; d = 1.904 Å, I 26.9; d = 1.600 Å, I 17.5; d = 1.520 Å, I 25.2; d = 1.457 Å, I 17.7

Structural model:
```
7
Lattice="2.5238 1.4571 10.3412 -2.5238 1.4571 10.3412 0.0000 -2.9142 10.3412" Properties=species:S:1:pos:R:3 pbc="T T T"
Sr 0.0000 0.0000 3.7719
Sr 0.0000 0.0000 27.2518
Ca 0.0000 0.0000 0.0000
Cd 0.0000 0.0000 11.9935
Cd 0.0000 0.0000 19.0302
In 0.0000 0.0000 8.3086
In 0.0000 0.0000 22.7151
```

---

No. 3
Simulated X-ray powder pattern
Compound: Ba2ThMnSe6
Radiation: Cu Kα
Structure: a structure optimized by DFT (PBE)
Kinematic intensities with the Lorentz-polarization factor, no thermal factor.

Top 10 peaks for 10 to 80 degrees two-theta, sorted by position:
d = 5.264 Å, I 20.2; d = 3.734 Å, I 31.9; d = 3.708 Å, I 31.8; d = 3.692 Å, I 16.1; d = 3.170 Å, I 27.0; d = 2.632 Å, I 100.0; d = 2.153 Å, I 19.5; d = 2.130 Å, I 20.8; d = 1.867 Å, I 17.2; d = 1.854 Å, I 17.0

Structural model:
```
20
Lattice="7.3838 0.0000 0.0000 0.0000 7.5163 0.0000 -7.2791 0.0000 10.5147" Properties=species:S:1:pos:R:3 pbc="T T T"
Ba -0.0880 0.4403 2.6036
Ba -3.7275 3.3178 7.8610
Ba 3.8323 4.1985 2.6537
Ba 0.1928 7.0760 7.9111
Th 3.6919 0.0000 0.0000
Th 0.0524 3.7581 5.2574
Mn -3.6395 0.0000 5.2574
Mn 0.0000 3.7581 0.0000
Se -5.8749 1.6806 10.1417
Se -2.2354 2.0775 4.8844
Se -5.2510 5.2071 10.1321
Se -1.6115 6.0673 4.8747
Se -3.1043 0.0139 7.7057
Se 0.5353 3.7442 2.4484
Se -0.4305 3.7721 8.0664
Se 3.2091 7.5024 2.8090
Se 1.7163 1.4490 5.6400
Se 5.3558 2.3092 0.3827
Se 2.3401 5.4388 5.6304
Se 5.9797 5.8357 0.3730
```

---

No. 4
Simulated X-ray powder pattern
Compound: Dy8Sb2Pd3
Radiation: Cu Kα
Structure: a structure optimized by DFT (PBE)
Kinematic intensities with the Lorentz-polarization factor, no thermal factor.

Top 10 peaks for 10 to 80 degrees two-theta, sorted by position:
d = 7.588 Å, I 40.5; d = 3.288 Å, I 25.6; d = 2.944 Å, I 29.6; d = 2.765 Å, I 46.7; d = 2.741 Å, I 100.0; d = 2.367 Å, I 27.6; d = 1.998 Å, I 45.3; d = 1.977 Å, I 22.1; d = 1.900 Å, I 34.2; d = 1.608 Å, I 18.1

Structural model:
```
13
Lattice="7.9260 -3.9547 0.0000 7.9260 3.9547 0.0000 -2.0063 0.0000 6.6482" Properties=species:S:1:pos:R:3 pbc="T T T"
Dy 0.7493 0.0000 2.3363
Dy 6.0308 1.9867 0.6447
Dy 7.8150 1.9867 6.0036
Dy 5.1732 0.0000 3.9224
Dy 8.6725 0.0000 2.7258
Dy 6.0308 -1.9867 0.6447
Dy 7.8150 -1.9867 6.0036
Dy 13.0964 0.0000 4.3120
Sb 3.6065 0.0000 1.1224
Sb 10.2393 0.0000 5.5258
Pd 6.9229 2.0818 3.3241
Pd 7.9260 0.0000 0.0000
Pd 6.9229 -2.0818 3.3241
```

---

No. 5
Simulated X-ray powder pattern
Compound: Er5ScSn3
Radiation: Cu Kα
Structure: a structure optimized by DFT (PBE)
Kinematic intensities with the Lorentz-polarization factor, no thermal factor.

Top 10 peaks for 10 to 80 degrees two-theta, sorted by position:
d = 2.931 Å, I 63.5; d = 2.833 Å, I 100.0; d = 2.724 Å, I 39.1; d = 2.436 Å, I 22.6; d = 2.400 Å, I 15.3; d = 2.119 Å, I 12.6; d = 2.091 Å, I 17.4; d = 1.772 Å, I 16.7; d = 1.659 Å, I 13.8; d = 1.593 Å, I 22.9

Structural model:
```
18
Lattice="-3.8520 3.8520 8.3632 3.8520 -3.8520 8.3632 3.8520 3.8520 -8.3632" Properties=species:S:1:pos:R:3 pbc="T T T"
Er 0.0000 0.0000 0.0000
Er 5.4308 1.5788 -2.3066
Er 1.5788 2.2732 -2.3066
Er 5.4308 1.5788 2.3066
Er 1.5788 2.2732 2.3066
Er 0.0000 0.0000 8.3632
Er 2.2732 1.5788 6.0566
Er -1.5788 2.2732 6.0566
Er 2.2732 1.5788 10.6698
Er -1.5788 2.2732 10.6698
Sc 3.8520 0.0000 4.1816
Sc 0.0000 3.8520 4.1816
Sn 2.8890 0.9630 0.0000
Sn 0.0000 0.0000 4.1816
Sn 2.8890 -0.9630 8.3632
Sn 0.9630 4.8150 0.0000
Sn 0.0000 0.0000 12.5448
Sn 0.9630 2.8890 8.3632
```

---

No. 6
Simulated X-ray powder pattern
Compound: BaMgGa2Ag
Radiation: Cu Kα
Structure: a structure optimized by DFT (PBE)
Kinematic intensities with the Lorentz-polarization factor, no thermal factor.

Top 10 peaks for 10 to 80 degrees two-theta, sorted by position:
d = 3.244 Å, I 53.1; d = 2.999 Å, I 60.5; d = 2.962 Å, I 50.3; d = 2.840 Å, I 100.0; d = 2.329 Å, I 38.7; d = 2.261 Å, I 35.5; d = 2.100 Å, I 28.0; d = 2.087 Å, I 28.3; d = 1.805 Å, I 26.9; d = 1.622 Å, I 24.5

Structural model:
```
5
Lattice="-2.2606 2.3285 5.8803 2.2606 -2.3285 5.8803 2.2606 2.3285 -5.8803" Properties=species:S:1:pos:R:3 pbc="T T T"
Ba 0.0000 0.0000 0.0000
Mg 2.2606 0.0000 2.8587
Ga 0.0000 0.0000 7.2209
Ga 0.0000 2.3285 2.8723
Ag 0.0000 0.0000 4.4723
```

---

No. 7
Simulated X-ray powder pattern
Compound: NbVW6
Radiation: Cu Kα
Structure: a structure optimized by DFT (PBE)
Kinematic intensities with the Lorentz-polarization factor, no thermal factor.

Top 10 peaks for 10 to 80 degrees two-theta, sorted by position:
d = 4.494 Å, I 5.9; d = 3.177 Å, I 3.9; d = 2.593 Å, I 3.1; d = 2.247 Å, I 100.0; d = 2.010 Å, I 1.5; d = 1.834 Å, I 1.2; d = 1.698 Å, I 1.8; d = 1.589 Å, I 17.0; d = 1.298 Å, I 17.4; d = 1.296 Å, I 17.3

Structural model:
```
8
Lattice="3.1751 -4.4899 0.0000 3.1751 4.4899 0.0000 0.0000 0.0000 4.4990" Properties=species:S:1:pos:R:3 pbc="T T T"
Nb 0.0000 0.0000 0.0000
V 3.1751 0.0000 0.0000
W 1.5875 2.2450 0.0000
W 3.1751 2.2320 2.2495
W 1.6190 0.0000 2.2495
W 1.5875 -2.2450 0.0000
W 4.7311 0.0000 2.2495
W 3.1751 -2.2320 2.2495
```

---

No. 8
Simulated X-ray powder pattern
Compound: Tm11Tl4Cd9
Radiation: Cu Kα
Structure: a structure optimized by DFT (PBE)
Kinematic intensities with the Lorentz-polarization factor, no thermal factor.

Top 10 peaks for 10 to 80 degrees two-theta, sorted by position:
d = 2.754 Å, I 13.8; d = 2.659 Å, I 100.0; d = 2.649 Å, I 96.6; d = 2.578 Å, I 93.1; d = 1.935 Å, I 14.3; d = 1.829 Å, I 14.9; d = 1.817 Å, I 20.8; d = 1.548 Å, I 20.2; d = 1.505 Å, I 23.9; d = 1.500 Å, I 34.5

Structural model:
```
24
Lattice="7.7411 -10.9750 0.0000 7.7411 10.9750 0.0000 0.0000 0.0000 3.6338" Properties=species:S:1:pos:R:3 pbc="T T T"
Tm 0.0000 0.0000 0.0000
Tm 3.6233 3.7796 0.0000
Tm 7.7411 7.1076 0.0000
Tm 3.6474 0.0000 0.0000
Tm 7.7411 3.2076 0.0000
Tm 3.6233 -3.7796 0.0000
Tm 11.8590 3.7796 0.0000
Tm 7.7411 -3.2076 0.0000
Tm 11.8349 0.0000 0.0000
Tm 7.7411 -7.1076 0.0000
Tm 11.8590 -3.7796 0.0000
Tl 5.4397 1.9245 1.8169
Tl 5.4397 -1.9245 1.8169
Tl 10.0425 1.9245 1.8169
Tl 10.0425 -1.9245 1.8169
Cd 1.7375 1.9071 1.8169
Cd 5.9184 5.2204 1.8169
Cd 1.7375 -1.9071 1.8169
Cd 9.5639 5.2204 1.8169
Cd 7.7411 0.0000 1.8169
Cd 5.9184 -5.2204 1.8169
Cd 13.7448 1.9071 1.8169
Cd 9.5639 -5.2204 1.8169
Cd 13.7448 -1.9071 1.8169
```

---

No. 9
Simulated X-ray powder pattern
Compound: SnF2
Radiation: Cu Kα
Structure: a structure optimized by DFT (PBE)
Kinematic intensities with the Lorentz-polarization factor, no thermal factor.

Top 10 peaks for 10 to 80 degrees two-theta, sorted by position:
d = 3.696 Å, I 73.6; d = 3.289 Å, I 100.0; d = 2.613 Å, I 19.7; d = 2.046 Å, I 68.9; d = 1.836 Å, I 22.3; d = 1.653 Å, I 16.4; d = 1.644 Å, I 17.7; d = 1.611 Å, I 16.5; d = 1.371 Å, I 15.7; d = 1.303 Å, I 15.0

Structural model:
```
12
Lattice="5.2266 0.0000 0.0000 0.0000 5.2266 0.0000 0.0000 0.0000 8.4633" Properties=species:S:1:pos:R:3 pbc="T T T"
Sn 0.0224 0.0224 0.0000
Sn 2.5909 2.6357 2.1158
Sn 2.6357 2.5909 6.3475
Sn 5.2042 5.2042 4.2317
F 0.7420 1.3422 5.6857
F 1.2711 3.3553 7.8016
F 1.3422 0.7420 2.7776
F 1.8713 3.9555 4.8934
F 3.3553 1.2711 0.6618
F 3.8844 4.4846 7.0093
F 3.9555 1.8713 3.5699
F 4.4846 3.8844 1.4541
```

---

No. 10
Simulated X-ray powder pattern
Compound: PrB4
Radiation: Cu Kα
Structure: a structure optimized by DFT (PBE)
Kinematic intensities with the Lorentz-polarization factor, no thermal factor.

Top 10 peaks for 10 to 80 degrees two-theta, sorted by position:
d = 4.144 Å, I 55.2; d = 3.635 Å, I 36.5; d = 3.251 Å, I 74.7; d = 2.733 Å, I 55.2; d = 2.558 Å, I 100.0; d = 2.010 Å, I 17.8; d = 1.763 Å, I 29.8; d = 1.747 Å, I 25.8; d = 1.622 Å, I 34.0; d = 1.343 Å, I 23.9

Structural model:
```
20
Lattice="7.2702 0.0000 0.0000 0.0000 7.2702 0.0000 0.0000 0.0000 4.1438" Properties=species:S:1:pos:R:3 pbc="T T T"
Pr 1.3286 2.3064 0.0000
Pr 2.3064 5.9415 0.0000
Pr 4.9637 1.3286 0.0000
Pr 5.9415 4.9637 0.0000
B 0.0000 0.0000 0.8526
B 0.0000 0.0000 3.2912
B 0.2841 6.0063 2.0719
B 0.6405 4.2756 2.0719
B 1.2639 0.2841 2.0719
B 2.3712 3.9192 2.0719
B 2.9945 0.6405 2.0719
B 3.3510 2.3712 2.0719
B 3.6351 3.6351 0.8526
B 3.6351 3.6351 3.2912
B 3.9192 4.8990 2.0719
B 4.2756 6.6296 2.0719
B 4.8990 3.3510 2.0719
B 6.0063 6.9860 2.0719
B 6.6296 2.9945 2.0719
B 6.9860 1.2639 2.0719
```

---

No. 11
Simulated X-ray powder pattern
Compound: LiMg6BO7
Radiation: Cu Kα
Structure: a structure optimized by DFT (PBE)
Kinematic intensities with the Lorentz-polarization factor, no thermal factor.

Top 10 peaks for 10 to 80 degrees two-theta, sorted by position:
d = 3.065 Å, I 26.3; d = 2.774 Å, I 17.3; d = 2.459 Å, I 18.9; d = 2.299 Å, I 43.9; d = 2.058 Å, I 100.0; d = 1.708 Å, I 14.2; d = 1.555 Å, I 13.0; d = 1.533 Å, I 40.6; d = 1.455 Å, I 27.4; d = 1.229 Å, I 17.1

Structural model:
```
15
Lattice="4.1152 0.0000 0.0000 0.0000 4.1152 0.0000 0.0000 0.0000 9.1946" Properties=species:S:1:pos:R:3 pbc="T T T"
Li 0.0000 0.0000 0.0000
Mg 0.0000 0.0000 5.0777
Mg 0.0000 2.0576 2.1632
Mg 0.0000 2.0576 7.2428
Mg 2.0576 0.0000 2.1632
Mg 2.0576 0.0000 7.2428
Mg 2.0576 2.0576 4.6613
B 2.0576 2.0576 9.0010
O 0.0000 0.0000 7.1630
O 0.0000 2.0576 0.1623
O 0.0000 2.0576 5.1038
O 2.0576 0.0000 0.1623
O 2.0576 0.0000 5.1038
O 2.0576 2.0576 2.6453
O 2.0576 2.0576 7.6121
```

---

No. 12
Simulated X-ray powder pattern
Compound: Ti6InPd8
Radiation: Cu Kα
Structure: a structure optimized by DFT (PBE)
Kinematic intensities with the Lorentz-polarization factor, no thermal factor.

Top 10 peaks for 10 to 80 degrees two-theta, sorted by position:
d = 2.773 Å, I 41.1; d = 2.711 Å, I 55.0; d = 2.625 Å, I 77.2; d = 2.291 Å, I 100.0; d = 2.256 Å, I 60.4; d = 1.939 Å, I 16.1; d = 1.775 Å, I 20.0; d = 1.718 Å, I 14.1; d = 1.640 Å, I 40.3; d = 1.367 Å, I 16.9

Structural model:
```
15
Lattice="9.3927 0.0000 0.0000 -4.6964 8.1343 0.0000 0.0000 0.0000 3.4367" Properties=species:S:1:pos:R:3 pbc="T T T"
Ti -1.1803 3.8535 0.9044
Ti -0.7690 7.2298 0.9044
Ti 2.7470 2.9489 2.5323
Ti 1.9493 5.1854 0.9044
Ti 5.4654 0.9046 2.5323
Ti 5.8767 4.2809 2.5323
In 0.0000 0.0000 1.7184
Pd -3.0666 6.1229 0.7901
Pd 0.9270 2.4171 0.7901
Pd 2.5568 0.4057 2.6466
Pd 0.0000 5.4229 2.6233
Pd 4.6964 2.7114 0.8134
Pd 2.1395 7.7286 0.7901
Pd 3.7693 5.7172 2.6466
Pd 7.7629 2.0114 2.6466
```